1.
This entry pairs a crystal structure of Ba2S3 with its calculated XRD peak list. Radiation: CuKα. Structure: a PBE-relaxed structure.
Neutral-atom scattering factors, no anomalous dispersion.

Atomic structure:
```
Ba2S3
1.0
-3.047 3.047 8.076
3.047 -3.047 8.076
3.047 3.047 -8.076
Ba S
4 6
Direct
0.000 0.000 0.000
0.155 0.655 0.500
0.405 0.405 0.000
0.750 0.250 0.500
0.169 0.842 0.327
0.200 0.200 0.000
0.516 0.842 0.673
0.592 0.419 0.827
0.592 0.766 0.173
0.950 0.450 0.500
```

Peak list (10 most intense, 10 to 80 degrees two-theta, low angle first)
Position (°2θ), d (Å), Rel. int.
22.03, 4.035, 36.4
23.40, 3.802, 100.0
29.31, 3.047, 86.0
31.34, 2.854, 94.1
33.34, 2.688, 23.7
36.96, 2.432, 52.3
41.90, 2.156, 38.8
43.44, 2.083, 47.7
48.57, 1.875, 31.0
61.29, 1.512, 21.1

---

2.
This entry pairs a crystal structure of LiHo2Os with its calculated XRD peak list. Radiation: CuKα. Structure: a PBE-relaxed structure.
Neutral-atom scattering factors, no anomalous dispersion.

Atomic structure:
```
LiHo2Os
1.0
6.894 0.000 0.000
0.000 6.894 0.000
0.000 0.000 6.894
Li Ho Os
4 8 4
Direct
0.000 0.000 0.000
0.000 0.500 0.500
0.500 0.000 0.500
0.500 0.500 0.000
0.250 0.250 0.250
0.250 0.250 0.750
0.250 0.750 0.250
0.250 0.750 0.750
0.750 0.250 0.250
0.750 0.250 0.750
0.750 0.750 0.250
0.750 0.750 0.750
0.000 0.000 0.500
0.000 0.500 0.000
0.500 0.000 0.000
0.500 0.500 0.500
```

Peak list (10 most intense, 10 to 80 degrees two-theta, low angle first)
Position (°2θ), d (Å), Rel. int.
22.33, 3.980, 29.2
25.85, 3.447, 8.5
36.88, 2.438, 100.0
43.54, 2.079, 15.6
53.14, 1.724, 17.7
58.34, 1.582, 6.6
60.01, 1.542, 3.2
66.43, 1.407, 36.2
71.05, 1.327, 4.9
78.48, 1.219, 11.4

---

3.
This entry pairs a crystal structure of Se2Br3N with its calculated XRD peak list. Radiation: CuKα. Structure: a PBE-relaxed structure.
Neutral-atom scattering factors, no anomalous dispersion.

Atomic structure:
```
Se2Br3N
1.0
14.837 0.000 0.000
0.000 8.737 0.000
0.000 0.000 12.767
Se Br N
16 24 8
Direct
0.037 0.156 0.000
0.110 0.511 0.718
0.127 0.982 0.391
0.134 0.652 0.934
0.366 0.652 0.434
0.373 0.982 0.891
0.390 0.511 0.218
0.463 0.156 0.500
0.537 0.844 0.000
0.610 0.489 0.718
0.627 0.018 0.391
0.634 0.348 0.934
0.866 0.348 0.434
0.873 0.018 0.891
0.890 0.489 0.218
0.963 0.844 0.500
0.087 0.243 0.683
0.105 0.671 0.438
0.138 0.499 0.097
0.138 0.821 0.757
0.149 0.249 0.355
0.164 0.003 0.066
0.336 0.003 0.566
0.351 0.249 0.855
0.362 0.499 0.597
0.362 0.821 0.257
0.395 0.671 0.938
0.413 0.243 0.183
0.587 0.757 0.683
0.605 0.329 0.438
0.638 0.179 0.757
0.638 0.501 0.097
0.649 0.751 0.355
0.664 0.997 0.066
0.836 0.997 0.566
0.851 0.751 0.855
0.862 0.179 0.257
0.862 0.501 0.597
0.895 0.329 0.938
0.913 0.757 0.183
0.021 0.007 0.452
0.117 0.488 0.855
0.383 0.488 0.355
0.479 0.007 0.952
0.521 0.993 0.452
0.617 0.512 0.855
0.883 0.512 0.355
0.979 0.993 0.952
```

Peak list (10 most intense, 10 to 80 degrees two-theta, low angle first)
Position (°2θ), d (Å), Rel. int.
17.17, 5.165, 28.7
21.79, 4.078, 33.0
24.00, 3.708, 100.0
24.11, 3.691, 93.7
24.67, 3.609, 32.8
24.97, 3.566, 20.9
33.82, 2.651, 37.1
41.92, 2.155, 34.1
47.69, 1.907, 15.8
48.42, 1.880, 17.5

---

4.
This entry pairs a crystal structure of AsSeBr with its calculated XRD peak list. Radiation: CuKα. Structure: a PBE-relaxed structure.
Neutral-atom scattering factors, no anomalous dispersion.

Atomic structure:
```
AsSeBr
1.0
6.828 0.000 0.000
0.000 6.828 0.000
0.000 0.000 6.828
As Se Br
4 4 4
Direct
0.000 0.000 0.000
0.000 0.500 0.500
0.500 0.000 0.500
0.500 0.500 0.000
0.250 0.250 0.750
0.250 0.750 0.250
0.750 0.250 0.250
0.750 0.750 0.750
0.000 0.000 0.500
0.000 0.500 0.000
0.500 0.000 0.000
0.500 0.500 0.500
```

Peak list (10 most intense, 10 to 80 degrees two-theta, low angle first)
Position (°2θ), d (Å), Rel. int.
22.55, 3.942, 27.9
26.10, 3.414, 14.5
37.24, 2.414, 100.0
43.98, 2.059, 13.8
53.69, 1.707, 17.0
58.96, 1.567, 5.7
60.65, 1.527, 5.2
67.16, 1.394, 34.5
71.84, 1.314, 4.2
79.38, 1.207, 10.8

---

5.
This entry pairs a crystal structure of BaGaCu2 with its calculated XRD peak list. Radiation: CuKα. Structure: a PBE-relaxed structure.
Neutral-atom scattering factors, no anomalous dispersion.

Atomic structure:
```
BaGaCu2
1.0
4.319 0.000 0.000
-2.159 3.740 0.000
0.000 0.000 17.143
Ba Ga Cu
3 3 6
Direct
0.000 0.000 0.000
0.333 0.667 0.667
0.667 0.333 0.333
0.000 0.000 0.500
0.333 0.667 0.167
0.667 0.333 0.833
0.000 0.000 0.188
0.000 0.000 0.812
0.333 0.667 0.478
0.333 0.667 0.855
0.667 0.333 0.145
0.667 0.333 0.522
```

Peak list (10 most intense, 10 to 80 degrees two-theta, low angle first)
Position (°2θ), d (Å), Rel. int.
15.51, 5.714, 16.9
24.36, 3.654, 43.9
25.99, 3.428, 34.0
31.31, 2.857, 57.0
31.75, 2.818, 78.9
35.52, 2.527, 47.4
41.83, 2.159, 100.0
53.17, 1.723, 73.9
53.46, 1.714, 17.7
59.30, 1.558, 27.7

---

6.
This entry pairs a crystal structure of Fe3NiAs8 with its calculated XRD peak list. Radiation: CuKα. Structure: a PBE-relaxed structure.
Neutral-atom scattering factors, no anomalous dispersion.

Atomic structure:
```
Fe3NiAs8
1.0
5.269 0.000 0.000
0.000 2.979 0.000
-0.003 0.000 11.966
Fe Ni As
3 1 8
Direct
0.000 0.000 0.000
0.498 0.500 0.252
0.502 0.500 0.748
0.000 0.000 0.500
0.184 0.000 0.180
0.184 0.000 0.685
0.318 0.500 0.931
0.323 0.500 0.429
0.677 0.500 0.571
0.682 0.500 0.069
0.816 0.000 0.315
0.816 0.000 0.820
```

Peak list (10 most intense, 10 to 80 degrees two-theta, low angle first)
Position (°2θ), d (Å), Rel. int.
34.48, 2.601, 100.0
34.59, 2.593, 80.6
37.30, 2.411, 33.2
37.81, 2.379, 92.1
48.58, 1.874, 60.7
48.83, 1.865, 25.0
54.45, 1.685, 33.0
55.44, 1.657, 47.0
55.81, 1.647, 33.9
73.23, 1.293, 21.8

---

7.
This entry pairs a crystal structure of Li2ThN2 with its calculated XRD peak list. Radiation: CuKα. Structure: a PBE-relaxed structure.
Neutral-atom scattering factors, no anomalous dispersion.

Atomic structure:
```
Li2ThN2
1.0
3.699 0.000 0.000
-1.850 3.204 0.000
0.000 0.000 5.545
Li Th N
2 1 2
Direct
0.333 0.667 0.404
0.667 0.333 0.596
0.000 0.000 0.000
0.333 0.667 0.773
0.667 0.333 0.227
```

Peak list (10 most intense, 10 to 80 degrees two-theta, low angle first)
Position (°2θ), d (Å), Rel. int.
15.98, 5.545, 73.2
27.85, 3.204, 51.9
32.27, 2.774, 100.0
43.15, 2.096, 43.3
49.27, 1.849, 22.1
52.13, 1.755, 22.0
57.56, 1.601, 25.4
60.13, 1.539, 28.7
67.54, 1.387, 13.5
79.11, 1.211, 13.5

---

8.
This entry pairs a crystal structure of UB4O8 with its calculated XRD peak list. Radiation: CuKα. Structure: a PBE-relaxed structure.
Neutral-atom scattering factors, no anomalous dispersion.

Atomic structure:
```
UB4O8
1.0
8.033 -2.126 0.000
8.033 2.126 0.000
-2.998 0.000 6.641
U B O
2 8 16
Direct
0.157 0.843 0.750
0.843 0.157 0.250
0.000 0.390 0.704
0.000 0.610 0.296
0.174 0.546 0.006
0.390 0.000 0.204
0.454 0.826 0.494
0.546 0.174 0.506
0.610 0.000 0.796
0.826 0.454 0.994
0.062 0.674 0.201
0.070 0.363 0.168
0.180 0.717 0.006
0.193 0.497 0.492
0.283 0.820 0.494
0.326 0.938 0.299
0.363 0.070 0.668
0.497 0.193 0.992
0.503 0.807 0.008
0.637 0.930 0.332
0.674 0.062 0.701
0.717 0.180 0.506
0.807 0.503 0.508
0.820 0.283 0.994
0.930 0.637 0.832
0.938 0.326 0.799
```

Peak list (10 most intense, 10 to 80 degrees two-theta, low angle first)
Position (°2θ), d (Å), Rel. int.
12.09, 7.322, 100.0
21.77, 4.083, 26.5
24.27, 3.667, 47.8
24.46, 3.639, 20.7
26.89, 3.316, 51.5
27.43, 3.252, 32.3
27.86, 3.202, 49.3
34.18, 2.623, 30.3
36.81, 2.442, 25.7
44.07, 2.055, 16.7